Starting from a GGA-PBE-relaxed structure, the powder XRD pattern of PdPb2F6 was calculated for a wavelength of 1.5418 Å.

Most intense lines, 15 to 90 degrees two-theta, in order of rising 2θ:
| Position (°2θ) | I (rel.) |
| --- | --- |
| 26.27 | 100 |
| 29.78 | 26 |
| 42.62 | 17 |
| 44.04 | 34 |
| 50.70 | 17 |
| 50.81 | 17 |

Cell and atoms:
```
data_PdPb2F6
_chemical_formula_sum 'Pd2 Pb4 F12'
_space_group_name_H-M_alt 'P 1'
_space_group_IT_number 1
_cell_length_a 8.9886
_cell_length_b 8.9886
_cell_length_c 5.9918
_cell_angle_alpha 90.00
_cell_angle_beta 90.00
_cell_angle_gamma 39.06
loop_
_space_group_symop_operation_xyz
'x,y,z'
loop_
_atom_site_label
_atom_site_type_symbol
_atom_site_fract_x
_atom_site_fract_y
_atom_site_fract_z
_atom_site_occupancy
Pd1 Pd 0.0000 0.0000 0.0000 1
Pd2 Pd 0.5000 0.5000 0.5000 1
Pb1 Pb 0.1623 0.1623 0.5000 1
Pb2 Pb 0.3377 0.3377 0.0000 1
Pb3 Pb 0.6623 0.6623 0.0000 1
Pb4 Pb 0.8377 0.8377 0.5000 1
F1 F 0.0129 0.4871 0.7500 1
F2 F 0.0791 0.7502 0.8346 1
F3 F 0.2502 0.5791 0.3346 1
F4 F 0.2498 0.9209 0.8346 1
F5 F 0.4209 0.7498 0.3346 1
F6 F 0.4871 0.0129 0.2500 1
F7 F 0.5129 0.9871 0.7500 1
F8 F 0.5791 0.2502 0.6654 1
F9 F 0.7502 0.0791 0.1654 1
F10 F 0.7498 0.4209 0.6654 1
F11 F 0.9209 0.2498 0.1654 1
F12 F 0.9871 0.5129 0.2500 1
```